The following is a simulated powder X-ray diffraction pattern of Te2MoNO. It was derived from a crystal structure in Alexandria, relaxed with PBE+U, using Cu Kα (λ = 1.5418 Å).
No peak broadening, texture or thermal motion is included.

Peak list (10 most intense, 2θ = 10–90°, sorted by position)
2θ (°), Rel. int.
16.32, 37.0
23.15, 23.4
23.53, 82.4
32.98, 100.0
33.25, 44.7
40.91, 77.7
47.33, 35.0
53.51, 35.8
59.58, 34.3
69.81, 21.0

Crystal structure
```
data_Te2MoNO
_chemical_formula_sum 'Te2 Mo1 N1 O1'
_space_group_name_H-M_alt 'P 4/m m m'
_space_group_IT_number 123
_space_group_name_Hall '-P 4 2'
_cell_length_a 5.433
_cell_length_b 5.433
_cell_length_c 3.781
_cell_angle_alpha 90.00
_cell_angle_beta 90.00
_cell_angle_gamma 90.00
loop_
_atom_site_label
_atom_site_fract_x
_atom_site_fract_y
_atom_site_fract_z
_atom_site_occupancy
Te1 0.000 0.500 0.000 1
Mo1 0.000 0.000 0.000 1
N1 0.000 0.000 0.500 1
O1 0.500 0.500 0.500 1
```